Calculated powder diffractogram of Cs2AsPdI6 for Cu Ka, from a DFT-relaxed cell (PBE, Alexandria).
No peak broadening, texture or thermal motion is included.

The 10 most intense peaks (10 to 90 degrees two-theta), sorted by position:
two_theta, I (rel.), h k l
21.7, 14, 2 0 0
26.6, 100, 2 0 2
30.8, 72, 2 2 0
31.0, 35, 0 0 4
44.1, 26, 4 0 0
44.2, 52, 2 2 4
52.2, 30, 4 2 2
52.6, 15, 2 0 6
54.9, 27, 4 0 4
81.2, 18, 6 2 4

Cell and atoms:
Cell lengths 8.2218, 8.2218, 11.5329 Å; angles 90.00, 90.00, 90.00 degrees
Space group I4/mmm (No. 139)
One atom of each set of equivalent atoms:
Cs 0.0000 0.5000 0.2500 (multiplicity 4)
As 0.0000 0.0000 0.0000 (multiplicity 2)
Pd 0.0000 0.0000 0.5000 (multiplicity 2)
I 0.0000 0.0000 0.2540 (multiplicity 4)
I 0.2470 0.2470 0.5000 (multiplicity 8)

Calculated powder diffractogram of InC6 for Cu Ka, from a DFT-relaxed cell (PBE, Alexandria).
No peak broadening, texture or thermal motion is included.

The 10 most intense peaks (10 to 90 degrees two-theta), sorted by position:
two_theta, I (rel.), h k l
15.4, 100, 1 0 0
21.9, 42, 1 1 0
31.1, 22, 2 0 0
34.9, 38, 2 1 0
38.4, 15, 2 1 1
44.6, 12, 2 2 0
47.5, 18, 3 0 0
50.2, 14, 3 1 0
57.9, 11, 3 2 0
60.3, 13, 3 2 1

Cell and atoms:
Cell lengths 5.7469, 5.7469, 5.7469 Å; angles 90.00, 90.00, 90.00 degrees
Space group Pm-3m (No. 221)
One atom of each set of equivalent atoms:
In 0.0000 0.0000 0.0000 (multiplicity 1)
C 0.0000 0.0000 0.3902 (multiplicity 6)

Calculated powder diffractogram of K8Rb4Au for Cu Ka, from a DFT-relaxed cell (PBE, Alexandria).
No peak broadening, texture or thermal motion is included.

The 10 most intense peaks (10 to 90 degrees two-theta), sorted by position:
two_theta, I (rel.), h k l
13.9, 55, 1 0 1
15.8, 41, 0 1 2
19.2, 48, 1 1 1
22.8, 92, 1 1 3
26.1, 51, 0 0 6
26.5, 100, 2 0 0
37.5, 79, 2 0 6
37.8, 38, 2 2 0
44.6, 26, 3 1 3
46.5, 44, 2 2 6

Cell and atoms:
Cell lengths 6.7235, 6.7244, 20.5137 Å; angles 90.00, 90.00, 90.00 degrees
Space group Pmm2 (No. 25)
One atom of each set of equivalent atoms:
K 0.0000 0.0000 0.0000 (multiplicity 1)
K 0.0000 0.0000 0.3335 (multiplicity 1)
K 0.0000 0.5000 0.1635 (multiplicity 1)
K 0.0000 0.5000 0.5015 (multiplicity 1)
K 0.5000 0.0000 0.5013 (multiplicity 1)
K 0.5000 0.0000 0.8369 (multiplicity 1)
K 0.5000 0.5000 0.9999 (multiplicity 1)
K 0.5000 0.5000 0.6648 (multiplicity 1)
Rb 0.0000 0.0000 0.6625 (multiplicity 1)
Rb 0.0000 0.5000 0.8359 (multiplicity 1)
Rb 0.5000 0.0000 0.1638 (multiplicity 1)
Rb 0.5000 0.5000 0.3396 (multiplicity 1)
Au 0.0000 0.0000 0.4938 (multiplicity 1)